No. 1
For ReBNO, a PBE-relaxed structure gives the theoretical PXRD pattern in this record (Cu Ka).
Lines closer than 0.1° are merged.

Peak list (8 most intense, 5 to 70 degrees two-theta, by angle)
Position (°2θ)  intensity
12.9  100
26.0  20
37.0  11
39.6  26
41.8  46
47.8  10
47.9  22
60.3  7

Cell and atoms:
```
ReBNO
1.0
5.260 0.000 0.000
0.000 6.857 0.000
0.000 0.000 4.559
Re B N O
4 4 4 4
Cartesian
0.561 0.349 0.000
2.069 0.349 2.279
3.191 6.508 0.000
4.699 6.508 2.279
0.088 2.785 2.456
2.542 2.785 0.176
2.718 4.072 2.456
5.171 4.072 0.176
0.348 1.435 2.862
2.281 1.435 0.583
2.978 5.422 2.862
4.911 5.422 0.583
0.079 3.842 3.362
2.551 3.842 1.083
2.708 3.016 3.362
5.181 3.016 1.083
```

No. 2
For TlGa3W4, a PBE-relaxed structure gives the theoretical PXRD pattern in this record (Cu Ka).
Lines closer than 0.1° are merged.

Peak list (8 most intense, 5 to 70 degrees two-theta, by angle)
Position (°2θ)  intensity
18.7  54
19.6  50
32.6  100
37.8  32
42.5  45
48.8  70
58.2  19
61.0  17

Cell and atoms:
```
TlGa3W4
1.0
6.411 0.000 0.000
0.000 6.411 0.000
0.000 0.000 9.515
Tl Ga W
2 6 8
Cartesian
0.000 0.000 0.000
3.205 3.205 4.758
0.000 0.000 4.758
0.000 3.205 2.379
0.000 3.205 7.136
3.205 0.000 2.379
3.205 0.000 7.136
3.205 3.205 0.000
0.892 0.892 2.511
0.892 5.519 7.004
2.314 2.314 7.268
2.314 4.097 2.247
4.097 2.314 2.247
4.097 4.097 7.268
5.519 0.892 7.004
5.519 5.519 2.511
```